Diffraction record for MgNbV3O10. The powder XRD pattern is theoretical, not measured: it uses a structure optimized by DFT (PBE+U) and Cu Kα.
Kinematic intensities with the Lorentz-polarization factor, no thermal factor.

Structural model:
Unit cell a=6.628 b=6.628 c=5.704 alpha=90.00 beta=90.00 gamma=90.00
Fractional positions:
1 Mg 0.000 0.000 0.000
2 Nb 0.000 0.000 0.500
3 V 0.000 0.500 0.383
4 V 0.500 0.000 0.617
5 V 0.500 0.500 0.500
6 O 0.000 0.204 0.270
7 O 0.000 0.500 0.671
8 O 0.000 0.796 0.270
9 O 0.204 0.000 0.730
10 O 0.288 0.500 0.318
11 O 0.500 0.000 0.329
12 O 0.500 0.288 0.682
13 O 0.500 0.712 0.682
14 O 0.712 0.500 0.318
15 O 0.796 0.000 0.730

Top 10 peaks for 10° ≤ 2θ ≤ 90°, by angle:
| h k l | 2theta | Rel. int. |
| --- | --- | --- |
| 1 0 0 | 13.36 | 22 |
| 0 0 1 | 15.53 | 100 |
| 1 0 1 | 20.54 | 25 |
| 2 0 0 | 26.91 | 83 |
| 2 0 1 | 31.22 | 50 |
| 1 1 2 | 36.89 | 16 |
| 2 2 1 | 41.67 | 16 |
| 2 2 2 | 50.40 | 17 |
| 3 1 2 | 54.32 | 17 |
| 4 0 0 | 55.46 | 15 |